Entry 1:
Computed powder XRD pattern of TbMgGa6 for copper Kα, from a DFT-relaxed cell (GGA-PBE, Alexandria).
No peak broadening, texture or thermal motion is included.

The 8 most intense peaks (15 to 90 degrees two-theta), low angle first:
| 2theta | Rel. int. | index |
| --- | --- | --- |
| 23.4 | 14.1 | 1 0 1 |
| 36.7 | 100.0 | 1 1 2 |
| 42.5 | 33.3 | 2 0 0 |
| 42.9 | 15.6 | 0 0 4 |
| 61.7 | 10.7 | 2 2 0 |
| 62.0 | 20.4 | 2 0 4 |
| 74.0 | 24.5 | 3 1 2 |
| 74.5 | 11.2 | 1 1 6 |

Lattice parameters (Å, degrees): 4.2533 4.2533 8.4318 90.00 90.00 90.00
Space group P4/mmm (No. 123)
Asymmetric unit:
Tb1 0.0000 0.0000 0.0000 [1 per cell]
Mg1 0.0000 0.0000 0.5000 [1 per cell]
Ga1 0.0000 0.5000 0.2608 [4 per cell]
Ga2 0.5000 0.5000 0.0000 [1 per cell]
Ga3 0.5000 0.5000 0.5000 [1 per cell]

Entry 2:
Computed powder XRD pattern of TbMgTlGa for copper Kα, from a DFT-relaxed cell (GGA-PBE, Alexandria).
No peak broadening, texture or thermal motion is included.

The 8 most intense peaks (15 to 90 degrees two-theta), low angle first:
| 2theta | Rel. int. | index |
| --- | --- | --- |
| 19.7 | 31.2 | 0 1 0 |
| 27.9 | 27.2 | 1 0 1 |
| 34.4 | 100.0 | 1 1 1 |
| 38.3 | 18.6 | 0 0 2 |
| 40.0 | 16.5 | 0 2 0 |
| 41.3 | 15.1 | 2 0 0 |
| 66.8 | 14.6 | 1 1 3 |
| 69.1 | 13.2 | 1 3 1 |

Lattice parameters (Å, degrees): 4.3687 4.5047 4.6980 90.00 90.00 90.00
Space group Pmmm (No. 47)
Asymmetric unit:
Tb1 0.0000 0.0000 0.0000 [1 per cell]
Mg1 0.0000 0.5000 0.5000 [1 per cell]
Tl1 0.5000 0.0000 0.5000 [1 per cell]
Ga1 0.5000 0.5000 0.0000 [1 per cell]